[1]
Np2Cu12Si7: calculated PXRD pattern (a wavelength of 1.5418 Å), based on a DFT-relaxed cell (PBE, Alexandria).

Largest 10 diffraction maxima, low angle first, 10° ≤ 2θ ≤ 90°:
10.8°, intensity 15, hkl 1 0 0
25.5°, intensity 23, hkl 1 0 1
28.7°, intensity 13, hkl 2 1 0
32.7°, intensity 13, hkl 3 0 0
37.1°, intensity 100, hkl 2 1 1
37.9°, intensity 16, hkl 2 2 0
46.2°, intensity 11, hkl 4 -3 1
47.1°, intensity 15, hkl 0 0 2
50.9°, intensity 15, hkl 1 4 0
54.1°, intensity 11, hkl 3 2 1

Structural model:
```
Np2Cu12Si7
1.0
9.4965 0.0000 0.0000
-4.7482 8.2242 0.0000
0.0000 0.0000 3.8584
Np Cu Si
2 12 7
Cartesian
0.0000 5.4828 0.9669
4.7482 2.7414 2.8915
-1.5807 3.5220 2.8996
-0.1311 2.1729 0.9375
-2.8009 7.2513 0.9375
1.8162 1.2000 2.9209
-0.9077 7.8321 2.8996
2.2598 3.1299 0.9588
2.4884 5.0942 2.8996
5.6560 0.3921 0.9588
2.9320 7.0242 0.9375
7.5491 0.9729 2.9209
4.8794 6.0513 2.9209
6.3290 4.7022 0.9588
0.0000 0.0000 1.9292
-2.2196 5.8085 2.8860
0.8277 3.3977 2.8860
3.3563 0.9820 0.9723
1.3919 7.2422 2.8860
3.9205 4.8265 0.9723
6.9679 2.4157 0.9723
```



[2]
NpCuTe2: calculated PXRD pattern (a wavelength of 1.5418 Å), based on a DFT-relaxed cell (PBE, Alexandria).

Largest 10 diffraction maxima, low angle first, 10° ≤ 2θ ≤ 90°:
11.0°, intensity 36, hkl 0 2 0
26.5°, intensity 100, hkl 1 3 0
27.8°, intensity 64, hkl 0 0 2
30.0°, intensity 42, hkl 0 2 2
34.8°, intensity 54, hkl 1 5 0
36.4°, intensity 25, hkl 0 6 1
38.8°, intensity 85, hkl 1 3 2
41.8°, intensity 33, hkl 2 0 0
45.2°, intensity 43, hkl 0 8 0
51.0°, intensity 24, hkl 2 0 2

Structural model:
```
NpCuTe2
1.0
4.3178 0.0000 0.0000
0.0000 16.0428 0.0000
0.0000 0.0000 6.4094
Np Cu Te
4 4 8
Cartesian
0.0000 3.0122 0.0000
0.0000 13.0307 3.2047
2.1589 5.0092 3.2047
2.1589 11.0336 0.0000
0.0000 6.3671 5.3416
0.0000 9.6757 2.1369
2.1589 1.6543 2.1369
2.1589 14.3885 5.3416
0.0000 2.7344 3.1857
0.0000 7.1048 2.8925
0.0000 8.9380 6.0971
0.0000 13.3084 6.3904
2.1589 0.9166 6.0971
2.1589 5.2870 6.3904
2.1589 10.7558 3.1857
2.1589 15.1262 2.8925
```